Diffraction record for Tb9YTl2. The powder diffraction line list is computed, not measured: it uses the PBE geometry in Alexandria and copper Kα.
No peak broadening, texture or thermal motion is included.

Top 8 peaks for 2θ = 15–90°, by intensity:
2θ/deg	intensity	hkl
31.42	100.0	1 1 3
36.78	33.1	2 0 0
62.92	27.6	3 1 3
52.24	23.6	2 0 6
35.77	17.3	0 0 6
61.56	13.8	1 1 9
65.58	11.9	2 2 6
52.99	11.7	2 2 0

Atomic structure:
Lattice parameters (Å, degrees): 4.8877 4.8877 15.0633 90.00 90.00 90.00
Sites, in units of the cell vectors:
Tb: 0.0000 0.0000 0.0000
Tb: 0.0000 0.0000 0.3369
Tb: 0.0000 0.0000 0.6631
Tb: 0.0000 0.5000 0.1723
Tb: 0.0000 0.5000 0.5000
Tb: 0.0000 0.5000 0.8277
Tb: 0.5000 0.0000 0.1723
Tb: 0.5000 0.0000 0.5000
Tb: 0.5000 0.0000 0.8277
Y: 0.5000 0.5000 0.0000
Tl: 0.5000 0.5000 0.3403
Tl: 0.5000 0.5000 0.6597